# Al2Au
Simulated X-ray diffraction stick pattern, CuKα. Input: the GGA-PBE geometry in OQMD.

Structure:
Lattice parameters (Å, degrees): 4.280 4.280 4.280 60.00 60.00 60.00
Positions (direct):
Al1 0.250 0.250 0.250
Al2 0.750 0.750 0.750
Au1 0.000 0.000 0.000

Top 8 peaks for 5 to 70 degrees two-theta, low angle first:
| 2θ/deg | I (rel.) |
| --- | --- |
| 25.49 | 100 |
| 29.51 | 27 |
| 42.23 | 65 |
| 49.97 | 50 |
| 52.36 | 8 |
| 61.25 | 11 |
| 67.44 | 21 |
| 69.44 | 10 |